Calculated X-ray powder pattern
Compound: SbAsPd5
Radiation: CuKα
Structure: a PBE-relaxed structure
No peak broadening, texture or thermal motion is included.

Structural model:
a b c (Å): 12.403 12.403 12.403
angles (deg): 90.00 90.00 90.00
Space group Fd-3m (No. 227, origin choice 2)
Unique sites:
Sb1 0.000 0.000 0.000 (multiplicity 16)
As1 0.000 0.000 0.500 (multiplicity 16)
Pd1 0.036 0.036 0.214 (multiplicity 32)
Pd2 0.088 0.375 0.875 (multiplicity 48)

Principal peaks in the range 10 to 90 degrees two-theta, sorted by position:
2θ/deg	I_rel
35.46	27
37.69	81
41.17	100
48.70	12
57.04	16
63.66	18
75.04	10
76.41	11
80.03	13
80.47	11

Calculated X-ray powder pattern
Compound: Nd2Dy4Pb3O2
Radiation: CuKα
Structure: a PBE-relaxed structure
No peak broadening, texture or thermal motion is included.

Structural model:
```
data_Nd2Dy4Pb3O2
_symmetry_space_group_name_H-M 'I 4/m m m'
_symmetry_Int_Tables_number 139
_symmetry_space_group_name_Hall '-I 4 2'
_cell_length_a 4.691
_cell_length_b 4.691
_cell_length_c 25.833
_cell_angle_alpha 90.00
_cell_angle_beta 90.00
_cell_angle_gamma 90.00
loop_
_atom_site_label
_atom_site_fract_x
_atom_site_fract_y
_atom_site_fract_z
Nd1 0.000 0.000 0.195
Dy1 0.000 0.500 0.082
Pb1 0.000 0.000 0.324
Pb2 0.000 0.000 0.500
O1 0.000 0.000 0.094
```

Principal peaks in the range 10 to 90 degrees two-theta, sorted by position:
2θ/deg	I_rel
19.23	15
27.62	14
27.77	31
30.29	13
30.83	15
34.12	100
38.38	50
55.39	17
58.16	13
66.69	30

Calculated X-ray powder pattern
Compound: Mo3Pb3N5
Radiation: CuKα
Structure: a PBE-relaxed structure
No peak broadening, texture or thermal motion is included.

Structural model:
```
data_Mo3Pb3N5
_symmetry_space_group_name_H-M 'P -1'
_symmetry_Int_Tables_number 2
_symmetry_space_group_name_Hall '-P 1'
_cell_length_a 6.133
_cell_length_b 7.988
_cell_length_c 8.849
_cell_angle_alpha 107.89
_cell_angle_beta 96.56
_cell_angle_gamma 100.06
loop_
_atom_site_label
_atom_site_fract_x
_atom_site_fract_y
_atom_site_fract_z
Mo1 0.067 0.188 0.031
Mo2 0.076 0.407 0.707
Mo3 0.329 0.504 0.387
Pb1 0.252 0.044 0.483
Pb2 0.432 0.851 0.782
Pb3 0.487 0.697 0.119
N1 0.034 0.367 0.227
N2 0.096 0.302 0.874
N3 0.199 0.717 0.444
N4 0.221 0.981 0.024
N5 0.328 0.441 0.587
```

Principal peaks in the range 10 to 90 degrees two-theta, sorted by position:
2θ/deg	I_rel
14.91	35
26.36	65
29.51	100
30.08	38
30.53	31
31.17	60
31.28	31
33.24	38
34.89	56
40.41	26

Calculated X-ray powder pattern
Compound: PaAg3F8
Radiation: CuKα
Structure: a PBE-relaxed structure
No peak broadening, texture or thermal motion is included.

Structural model:
```
data_PaAg3F8
_symmetry_space_group_name_H-M 'C 2 2 2'
_symmetry_Int_Tables_number 21
_symmetry_space_group_name_Hall 'C 2 2'
_cell_length_a 6.379
_cell_length_b 10.706
_cell_length_c 8.036
_cell_angle_alpha 90.00
_cell_angle_beta 90.00
_cell_angle_gamma 90.00
loop_
_atom_site_label
_atom_site_fract_x
_atom_site_fract_y
_atom_site_fract_z
Pa1 0.000 0.000 0.000
Ag1 0.000 0.000 0.500
Ag2 0.250 0.250 0.303
F1 0.000 0.198 0.000
F2 0.000 0.200 0.500
F3 0.232 0.019 0.188
```

Principal peaks in the range 10 to 90 degrees two-theta, sorted by position:
2θ/deg	I_rel
16.17	100
19.61	58
19.93	21
27.53	59
27.76	31
32.68	23
33.48	30
35.95	43
36.50	19
49.94	29

Calculated X-ray powder pattern
Compound: CaAc2Cd10
Radiation: CuKα
Structure: a PBE-relaxed structure
No peak broadening, texture or thermal motion is included.

Structural model:
```
data_CaAc2Cd10
_symmetry_space_group_name_H-M 'P b a m'
_symmetry_Int_Tables_number 55
_symmetry_space_group_name_Hall '-P 2 2ab'
_cell_length_a 6.674
_cell_length_b 20.025
_cell_length_c 6.256
_cell_angle_alpha 90.00
_cell_angle_beta 90.00
_cell_angle_gamma 90.00
loop_
_atom_site_label
_atom_site_fract_x
_atom_site_fract_y
_atom_site_fract_z
Ca1 0.000 0.000 0.000
Ac1 0.168 0.316 0.500
Cd1 0.044 0.729 0.000
Cd2 0.053 0.568 0.000
Cd3 0.167 0.149 0.273
Cd4 0.187 0.863 0.000
```

Principal peaks in the range 10 to 90 degrees two-theta, sorted by position:
2θ/deg	I_rel
17.72	34
28.54	31
30.36	63
30.69	93
32.86	100
33.26	47
34.10	47
35.00	28
36.45	61
45.34	29

Calculated X-ray powder pattern
Compound: PmY5Bi6
Radiation: CuKα
Structure: a PBE-relaxed structure
No peak broadening, texture or thermal motion is included.

Structural model:
```
data_PmY5Bi6
_symmetry_space_group_name_H-M 'C 1 2/m 1'
_symmetry_Int_Tables_number 12
_symmetry_space_group_name_Hall '-C 2y'
_cell_length_a 7.794
_cell_length_b 13.501
_cell_length_c 7.792
_cell_angle_alpha 90.00
_cell_angle_beta 109.49
_cell_angle_gamma 90.00
loop_
_atom_site_label
_atom_site_fract_x
_atom_site_fract_y
_atom_site_fract_z
Pm1 0.000 0.000 0.000
Y1 0.000 0.165 0.500
Y2 0.000 0.333 0.000
Y3 0.000 0.500 0.500
Bi1 0.246 0.500 0.251
Bi2 0.247 0.332 0.747
```

Principal peaks in the range 10 to 90 degrees two-theta, sorted by position:
2θ/deg	I_rel
24.23	22
28.04	100
40.08	78
47.38	12
49.63	28
57.97	13
63.75	5
65.61	37
72.81	27
86.52	9